Structure and computed X-ray powder pattern of Ce3Tm4Sn4 (the GGA-PBE geometry in Alexandria; copper Kα).
No peak broadening, texture or thermal motion is included.

Largest 10 diffraction maxima, in order of rising 2θ, 2θ from 10° to 80°:
| 2θ (°) | I (rel.) | hkl |
| --- | --- | --- |
| 26.75 | 15 | 0 1 3 |
| 32.38 | 100 | 2 1 3 |
| 36.29 | 24 | 4 0 0 |
| 36.40 | 9 | 0 0 6 |
| 39.93 | 19 | 0 2 0 |
| 40.84 | 12 | 2 0 6 |
| 55.07 | 18 | 4 2 0 |
| 58.44 | 8 | 2 2 6 |
| 62.84 | 13 | 6 1 3 |
| 67.79 | 18 | 2 3 3 |

```
data_Ce3Tm4Sn4
_chemical_formula_sum 'Ce6 Tm8 Sn8'
_symmetry_space_group_name_H-M 'A m m 2'
_symmetry_Int_Tables_number 38
_cell_length_a 9.902
_cell_length_b 4.516
_cell_length_c 14.813
_cell_angle_alpha 90.00
_cell_angle_beta 90.00
_cell_angle_gamma 90.00
loop_
_symmetry_equiv_pos_as_xyz
'x,y,z'
'-x,-y,z'
'-x,y,z'
'x,-y,z'
'x,y+1/2,z+1/2'
'-x,-y+1/2,z+1/2'
'-x,y+1/2,z+1/2'
'x,-y+1/2,z+1/2'
loop_
_atom_site_label
_atom_site_type_symbol
_atom_site_fract_x
_atom_site_fract_y
_atom_site_fract_z
_atom_site_occupancy
Ce1 Ce 0.000 0.000 0.000 1
Ce2 Ce 0.272 0.000 0.105 1
Tm1 Tm 0.000 0.000 0.299 1
Tm2 Tm 0.245 0.000 0.805 1
Tm3 Tm 0.500 0.000 0.339 1
Sn1 Sn 0.000 0.000 0.660 1
Sn2 Sn 0.229 0.000 0.447 1
Sn3 Sn 0.500 0.000 0.684 1
```


Structure and computed X-ray powder pattern of CeTm5Sn6 (the GGA-PBE geometry in Alexandria; copper Kα).
No peak broadening, texture or thermal motion is included.

Largest 10 diffraction maxima, in order of rising 2θ, 2θ from 10° to 80°:
| 2θ (°) | I (rel.) | hkl |
| --- | --- | --- |
| 30.24 | 58 | 2 0 0 |
| 31.40 | 100 | 1 3 -2 |
| 35.15 | 37 | 0 6 0 |
| 37.13 | 66 | 1 3 2 |
| 47.04 | 33 | 2 6 0 |
| 50.38 | 26 | 3 3 -2 |
| 60.74 | 14 | 1 9 -2 |
| 62.05 | 16 | 3 3 2 |
| 64.04 | 13 | 0 6 4 |
| 74.15 | 16 | 4 6 0 |

```
data_CeTm5Sn6
_chemical_formula_sum 'Ce2 Tm10 Sn12'
_symmetry_space_group_name_H-M 'C 1 2/m 1'
_symmetry_Int_Tables_number 12
_cell_length_a 6.101
_cell_length_b 15.319
_cell_length_c 7.303
_cell_angle_alpha 90.00
_cell_angle_beta 104.35
_cell_angle_gamma 90.00
loop_
_symmetry_equiv_pos_as_xyz
'x,y,z'
'-x,-y,-z'
'-x,y,-z'
'x,-y,z'
'x+1/2,y+1/2,z'
'-x+1/2,-y+1/2,-z'
'-x+1/2,y+1/2,-z'
'x+1/2,-y+1/2,z'
loop_
_atom_site_label
_atom_site_type_symbol
_atom_site_fract_x
_atom_site_fract_y
_atom_site_fract_z
_atom_site_occupancy
Ce1 Ce 0.000 0.000 0.000 1
Tm1 Tm 0.000 0.000 0.500 1
Tm2 Tm 0.000 0.325 0.000 1
Tm3 Tm 0.000 0.345 0.500 1
Sn1 Sn 0.008 0.171 0.732 1
Sn2 Sn 0.017 0.500 0.229 1
```


Structure and computed X-ray powder pattern of Ce5TmSn4 (the GGA-PBE geometry in Alexandria; copper Kα).
No peak broadening, texture or thermal motion is included.

Largest 10 diffraction maxima, in order of rising 2θ, 2θ from 10° to 80°:
| 2θ (°) | I (rel.) | hkl |
| --- | --- | --- |
| 20.85 | 15 | 1 0 1 |
| 29.62 | 50 | 0 3 1 |
| 29.95 | 20 | 0 4 0 |
| 31.23 | 100 | 3 0 1 |
| 32.74 | 16 | 4 0 0 |
| 33.33 | 27 | 3 3 0 |
| 33.94 | 36 | 2 3 1 |
| 36.77 | 24 | 1 4 1 |
| 38.95 | 31 | 0 0 2 |
| 43.81 | 21 | 3 4 1 |

```
data_Ce5TmSn4
_chemical_formula_sum 'Ce10 Tm2 Sn8'
_symmetry_space_group_name_H-M 'P m m n'
_symmetry_Int_Tables_number 59
_cell_length_a 10.941
_cell_length_b 11.936
_cell_length_c 4.626
_cell_angle_alpha 90.00
_cell_angle_beta 90.00
_cell_angle_gamma 90.00
loop_
_symmetry_equiv_pos_as_xyz
'x,y,z'
'-x,-y,-z'
'-x+1/2,-y+1/2,z'
'x+1/2,y+1/2,-z'
'x+1/2,-y,-z'
'-x+1/2,y,z'
'-x,y+1/2,-z'
'x,-y+1/2,z'
loop_
_atom_site_label
_atom_site_type_symbol
_atom_site_fract_x
_atom_site_fract_y
_atom_site_fract_z
_atom_site_occupancy
Ce1 Ce 0.062 0.069 0.210 1
Ce2 Ce 0.250 0.750 0.795 1
Tm1 Tm 0.250 0.250 0.720 1
Sn1 Sn 0.036 0.750 0.289 1
Sn2 Sn 0.250 0.001 0.712 1
```


Structure and computed X-ray powder pattern of Ce2ZnSn (the GGA-PBE geometry in Alexandria; copper Kα).
No peak broadening, texture or thermal motion is included.

Largest 10 diffraction maxima, in order of rising 2θ, 2θ from 10° to 80°:
| 2θ (°) | I (rel.) | hkl |
| --- | --- | --- |
| 32.58 | 100 | 0 2 2 |
| 32.83 | 16 | 0 3 1 |
| 34.39 | 96 | 2 2 0 |
| 37.98 | 70 | 2 0 2 |
| 40.60 | 25 | 0 4 0 |
| 56.80 | 34 | 2 4 2 |
| 57.21 | 12 | 4 0 0 |
| 57.90 | 14 | 2 3 3 |
| 64.11 | 20 | 2 2 4 |
| 67.41 | 24 | 4 2 2 |

```
data_Ce2ZnSn
_chemical_formula_sum 'Ce8 Zn4 Sn4'
_symmetry_space_group_name_H-M 'I m m a'
_symmetry_Int_Tables_number 74
_symmetry_space_group_name_Hall '-I 2b 2'
_cell_length_a 6.441
_cell_length_b 8.889
_cell_length_c 6.996
_cell_angle_alpha 90.00
_cell_angle_beta 90.00
_cell_angle_gamma 90.00
loop_
_atom_site_label
_atom_site_type_symbol
_atom_site_fract_x
_atom_site_fract_y
_atom_site_fract_z
_atom_site_occupancy
Ce1 Ce 0.250 0.025 0.250 1
Zn1 Zn 0.000 0.250 0.537 1
Sn1 Sn 0.000 0.250 0.959 1
```